# Pm5PrDyHo2
Computed powder X-ray diffraction pattern, Cu Ka. Input: a cell relaxed with GGA-PBE.
No peak broadening, texture or thermal motion is included.

Main lines, in order of falling intensity (15° ≤ 2θ ≤ 90°):
| index | 2θ/deg | I_rel |
| --- | --- | --- |
| 1 5 2 | 31.86 | 100.0 |
| 2 0 0 | 31.39 | 42.9 |
| 1 1 3 | 30.02 | 40.8 |
| 3 5 2 | 56.19 | 20.1 |
| 0 6 1 | 27.65 | 18.9 |
| 1 11 3 | 58.66 | 14.8 |
| 2 6 5 | 60.86 | 14.3 |
| 2 6 1 | 42.32 | 12.1 |
| 0 0 4 | 33.72 | 12.0 |
| 0 6 5 | 50.70 | 11.8 |

Structural model:
```
data_Pm5PrDyHo2
_chemical_formula_sum 'Pm20 Pr4 Dy4 Ho8'
_symmetry_space_group_name_H-M 'C m c 21'
_symmetry_Int_Tables_number 36
_symmetry_space_group_name_Hall 'C 2c -2'
_cell_length_a 5.6986
_cell_length_b 20.3123
_cell_length_c 10.6320
_cell_angle_alpha 90.00
_cell_angle_beta 90.00
_cell_angle_gamma 90.00
loop_
_atom_site_label
_atom_site_type_symbol
_atom_site_fract_x
_atom_site_fract_y
_atom_site_fract_z
Pm1 Pm 0.0000 0.0169 0.0000
Pm2 Pm 0.0000 0.2800 0.2916
Pm3 Pm 0.0000 0.2973 0.6858
Pm4 Pm 0.0000 0.3870 0.0017
Pm5 Pm 0.0000 0.4792 0.7186
Pr1 Pr 0.0000 0.4133 0.4304
Dy1 Dy 0.0000 0.1993 0.9897
Ho1 Ho 0.0000 0.1134 0.7121
Ho2 Ho 0.0000 0.1159 0.2974
```